Structure and calculated PXRD pattern of Pm2Y8Th3 (a crystal structure in Alexandria, relaxed with GGA-PBE; a wavelength of 1.5418 Å).
Intensities are scaled so that the largest is 100.

Structural model:
Cell lengths 11.7631, 21.0960, 3.4978 Å; angles 90.00, 90.00, 90.00 degrees
Element x y z (fractional)
Pm  0.1767  0.0985  0.0000
Pm  0.3233  0.5985  0.0000
Pm  0.6767  0.4015  0.0000
Pm  0.8233  0.9015  0.0000
Y  0.0420  0.5727  0.0000
Y  0.0593  0.8409  0.5000
Y  0.1326  0.2868  0.0000
Y  0.2112  0.4493  0.5000
Y  0.2888  0.9493  0.5000
Y  0.3674  0.7868  0.0000
Y  0.4407  0.3409  0.5000
Y  0.4580  0.0727  0.0000
Y  0.5420  0.9273  0.0000
Y  0.5593  0.6591  0.5000
Y  0.6326  0.2132  0.0000
Y  0.7112  0.0507  0.5000
Y  0.7888  0.5507  0.5000
Y  0.8674  0.7132  0.0000
Y  0.9407  0.1591  0.5000
Y  0.9580  0.4273  0.0000
Th  0.0000  0.0000  0.5000
Th  0.1402  0.7003  0.5000
Th  0.3598  0.2003  0.5000
Th  0.5000  0.5000  0.5000
Th  0.6402  0.7997  0.5000
Th  0.8598  0.2997  0.5000

Principal peaks in the range 15° ≤ 2θ ≤ 90°, sorted by position:
2θ 30.0, I = 72.9, (2 1 1); 2θ 30.6, I = 62.1, (1 7 0); 2θ 31.1, I = 73.5, (3 5 0); 2θ 31.6, I = 100.0, (4 2 0); 2θ 33.0, I = 20.4, (4 3 0); 2θ 34.6, I = 57.2, (3 1 1); 2θ 36.2, I = 31.8, (0 6 1); 2θ 53.7, I = 21.0, (5 6 1); 2θ 61.9, I = 19.2, (1 7 2); 2θ 62.1, I = 20.7, (3 5 2)